Theoretical powder diffractogram of TaW for Cu Ka, from a PBE-relaxed structure.
Neutral-atom scattering factors, no anomalous dispersion.

Largest 8 diffraction maxima, by angle, 10 to 90 degrees two-theta:
2θ/deg, d (Å), I/Imax
38.97, 2.311, 25.4
39.19, 2.299, 100.0
39.57, 2.278, 24.3
56.74, 1.622, 17.2
70.74, 1.332, 26.9
71.16, 1.325, 8.8
71.53, 1.319, 17.4
84.24, 1.149, 11.4

Structure:
a = 2.8277 Å, b = 2.8277 Å, c = 4.5552 Å
α = 90.00°, β = 90.00°, γ = 109.65°
Atoms (fractional coordinates):
1 Ta 0.0000 0.0000 0.0000
2 W 0.5000 0.5000 0.5000


Theoretical powder diffractogram of VS2 for Cu Ka, from a PBE-relaxed structure.
Neutral-atom scattering factors, no anomalous dispersion.

Largest 8 diffraction maxima, by angle, 10 to 90 degrees two-theta:
2θ/deg, d (Å), I/Imax
16.00, 5.540, 72.1
34.81, 2.577, 94.7
35.91, 2.501, 53.6
38.63, 2.331, 100.0
40.21, 2.243, 41.7
43.78, 2.068, 43.0
49.21, 1.851, 40.5
57.81, 1.595, 39.8

Structure:
a = 3.1921 Å, b = 3.1921 Å, c = 11.3482 Å
α = 100.80°, β = 100.80°, γ = 60.00°
Atoms (fractional coordinates):
1 V 0.0000 0.0000 0.0000
2 S 0.3923 0.3923 0.1328
3 S 0.6077 0.6077 0.8672


Theoretical powder diffractogram of MgSi2 for Cu Ka, from a PBE-relaxed structure.
Neutral-atom scattering factors, no anomalous dispersion.

Largest 8 diffraction maxima, by angle, 10 to 90 degrees two-theta:
2θ/deg, d (Å), I/Imax
26.31, 3.387, 52.9
30.01, 2.977, 44.3
30.89, 2.895, 34.4
36.99, 2.430, 21.1
37.83, 2.378, 29.2
41.48, 2.177, 100.0
48.11, 1.891, 48.7
48.67, 1.871, 39.1

Structure:
a = 12.3905 Å, b = 12.3905 Å, c = 5.3865 Å
α = 102.20°, β = 102.20°, γ = 17.37°
Atoms (fractional coordinates):
1 Mg 0.0000 0.0000 0.0000
2 Mg 0.0735 0.0735 0.5593
3 Mg 0.3841 0.3841 0.6437
4 Mg 0.7714 0.7714 0.2971
5 Si 0.1150 0.1150 0.1316
6 Si 0.1997 0.1997 0.4439
7 Si 0.3405 0.3405 0.1051
8 Si 0.4397 0.4397 0.2127
9 Si 0.6274 0.6274 0.8889
10 Si 0.7086 0.7086 0.7167
11 Si 0.8097 0.8097 0.8374
12 Si 0.9614 0.9614 0.4903


Theoretical powder diffractogram of MgSb2O4F2 for Cu Ka, from a PBE-relaxed structure.
Neutral-atom scattering factors, no anomalous dispersion.

Largest 8 diffraction maxima, by angle, 10 to 90 degrees two-theta:
2θ/deg, d (Å), I/Imax
21.26, 4.180, 83.8
21.91, 4.056, 100.0
23.45, 3.794, 90.1
29.31, 3.047, 38.5
30.25, 2.955, 49.1
31.17, 2.869, 27.6
31.35, 2.854, 37.8
49.72, 1.834, 31.2

Structure:
a = 5.2652 Å, b = 5.4184 Å, c = 5.7684 Å
α = 93.21°, β = 114.55°, γ = 114.84°
Atoms (fractional coordinates):
1 Mg 0.0000 0.0000 0.0000
2 Sb 0.3717 0.6592 0.0574
3 Sb 0.4835 0.2472 0.5938
4 O 0.2645 0.8434 0.2705
5 O 0.4539 0.3952 0.2654
6 O 0.5652 0.6373 0.8339
7 O 0.9426 0.3087 0.8174
8 F 0.1624 0.8583 0.7938
9 F 0.8141 0.0290 0.2443


Theoretical powder diffractogram of Sr5Sb3 for Cu Ka, from a PBE-relaxed structure.
Neutral-atom scattering factors, no anomalous dispersion.

Largest 8 diffraction maxima, by angle, 10 to 90 degrees two-theta:
2θ/deg, d (Å), I/Imax
23.84, 3.732, 31.8
28.42, 3.141, 20.8
30.34, 2.946, 94.9
30.89, 2.895, 100.0
32.31, 2.771, 68.5
40.98, 2.202, 24.6
46.57, 1.950, 31.5
59.76, 1.548, 18.9

Structure:
a = 9.5954 Å, b = 9.5954 Å, c = 7.4636 Å
α = 90.00°, β = 90.00°, γ = 120.00°
Atoms (fractional coordinates):
1 Sr 0.0000 0.2532 0.2500
2 Sr 0.0000 0.7468 0.7500
3 Sr 0.2532 0.0000 0.2500
4 Sr 0.2532 0.2532 0.7500
5 Sr 0.3333 0.6667 0.0000
6 Sr 0.3333 0.6667 0.5000
7 Sr 0.6667 0.3333 0.0000
8 Sr 0.6667 0.3333 0.5000
9 Sr 0.7468 0.0000 0.7500
10 Sr 0.7468 0.7468 0.2500
11 Sb 0.0000 0.3902 0.7500
12 Sb 0.0000 0.6098 0.2500
13 Sb 0.3902 0.0000 0.7500
14 Sb 0.3902 0.3902 0.2500
15 Sb 0.6098 0.0000 0.2500
16 Sb 0.6098 0.6098 0.7500


Theoretical powder diffractogram of BeH for Cu Ka, from a PBE-relaxed structure.
Neutral-atom scattering factors, no anomalous dispersion.

Largest 8 diffraction maxima, by angle, 10 to 90 degrees two-theta:
2θ/deg, d (Å), I/Imax
33.38, 2.684, 61.7
45.61, 1.989, 32.8
48.83, 1.865, 100.0
57.69, 1.598, 18.5
70.11, 1.342, 9.0
70.83, 1.330, 46.2
84.35, 1.148, 19.9
87.72, 1.113, 8.1

Structure:
a = 2.2965 Å, b = 2.2965 Å, c = 5.3690 Å
α = 90.00°, β = 90.00°, γ = 120.00°
Atoms (fractional coordinates):
1 Be 0.3333 0.6667 0.0000
2 Be 0.6667 0.3333 0.5000
3 H 0.3333 0.6667 0.3116
4 H 0.6667 0.3333 0.8116


Theoretical powder diffractogram of TlIn5S7 for Cu Ka, from a PBE-relaxed structure.
Neutral-atom scattering factors, no anomalous dispersion.

Largest 8 diffraction maxima, by angle, 10 to 90 degrees two-theta:
2θ/deg, d (Å), I/Imax
24.64, 3.613, 78.2
25.57, 3.484, 88.7
27.52, 3.241, 61.3
31.22, 2.865, 73.6
31.88, 2.807, 81.3
33.17, 2.701, 68.5
34.13, 2.627, 100.0
45.96, 1.975, 60.1

Structure:
a = 9.2458 Å, b = 3.9494 Å, c = 17.6943 Å
α = 90.00°, β = 102.25°, γ = 90.00°
Atoms (fractional coordinates):
1 Tl 0.0263 0.2500 0.2253
2 Tl 0.9737 0.7500 0.7747
3 In 0.1452 0.7500 0.4546
4 In 0.1720 0.2500 0.0323
5 In 0.3193 0.7500 0.6885
6 In 0.4338 0.2500 0.3812
7 In 0.4772 0.2500 0.8981
8 In 0.5228 0.7500 0.1019
9 In 0.5662 0.7500 0.6188
10 In 0.6807 0.2500 0.3115
11 In 0.8280 0.7500 0.9677
12 In 0.8548 0.2500 0.5454
13 S 0.0360 0.7500 0.0880
14 S 0.0572 0.7500 0.5892
15 S 0.2569 0.7500 0.3294
16 S 0.2632 0.2500 0.7713
17 S 0.3315 0.7500 0.9678
18 S 0.3351 0.2500 0.5058
19 S 0.3855 0.2500 0.1509
20 S 0.6145 0.7500 0.8491
21 S 0.6649 0.7500 0.4942
22 S 0.6685 0.2500 0.0322
23 S 0.7368 0.7500 0.2287
24 S 0.7431 0.2500 0.6706
25 S 0.9428 0.2500 0.4108
26 S 0.9640 0.2500 0.9120


Theoretical powder diffractogram of Sm2SbS for Cu Ka, from a PBE-relaxed structure.
Neutral-atom scattering factors, no anomalous dispersion.

Largest 8 diffraction maxima, by angle, 10 to 90 degrees two-theta:
2θ/deg, d (Å), I/Imax
25.52, 3.491, 19.1
29.55, 3.023, 100.0
42.28, 2.138, 74.7
50.04, 1.823, 9.9
52.43, 1.745, 26.4
61.33, 1.511, 12.3
69.53, 1.352, 33.7
77.32, 1.234, 25.1

Structure:
a = 4.2772 Å, b = 4.2772 Å, c = 6.0403 Å
α = 90.00°, β = 90.00°, γ = 90.00°
Atoms (fractional coordinates):
1 Sm 0.0000 0.0000 0.0000
2 Sm 0.5000 0.5000 0.5000
3 Sb 0.0000 0.0000 0.5000
4 S 0.5000 0.5000 0.0000


Repeat the third record exactly.
Theoretical powder diffractogram of MgSi2 for Cu Ka, from a PBE-relaxed structure.
Neutral-atom scattering factors, no anomalous dispersion.

Largest 8 diffraction maxima, by angle, 10 to 90 degrees two-theta:
2θ/deg, d (Å), I/Imax
26.31, 3.387, 52.9
30.01, 2.977, 44.3
30.89, 2.895, 34.4
36.99, 2.430, 21.1
37.83, 2.378, 29.2
41.48, 2.177, 100.0
48.11, 1.891, 48.7
48.67, 1.871, 39.1

Structure:
a = 12.3905 Å, b = 12.3905 Å, c = 5.3865 Å
α = 102.20°, β = 102.20°, γ = 17.37°
Atoms (fractional coordinates):
1 Mg 0.0000 0.0000 0.0000
2 Mg 0.0735 0.0735 0.5593
3 Mg 0.3841 0.3841 0.6437
4 Mg 0.7714 0.7714 0.2971
5 Si 0.1150 0.1150 0.1316
6 Si 0.1997 0.1997 0.4439
7 Si 0.3405 0.3405 0.1051
8 Si 0.4397 0.4397 0.2127
9 Si 0.6274 0.6274 0.8889
10 Si 0.7086 0.7086 0.7167
11 Si 0.8097 0.8097 0.8374
12 Si 0.9614 0.9614 0.4903